This entry pairs a crystal structure of Pr3GaBr2F with its computed X-ray powder pattern. Radiation: λ = 1.5418 Å (Cu Kα). Structure: a crystal structure in OQMD, relaxed with PBE.

Main lines, low angle first (2θ = 5–70°):
- 2θ 15.23, I = 44, hkl 1 0 0
- 2θ 29.72, I = 55, hkl 0 0 2
- 2θ 30.73, I = 100, hkl 2 0 0
- 2θ 43.28, I = 77, hkl 2 0 2
- 2θ 44.02, I = 37, hkl 2 2 0
- 2θ 54.01, I = 40, hkl 2 2 2

Atomic structure:
Unit cell a=5.819 b=5.819 c=6.012 alpha=90.00 beta=90.00 gamma=90.00
Space group P4/mmm (No. 123)
Unique sites:
Pr 0.000 0.000 0.000 [1 per cell]
Pr 0.000 0.500 0.500 [2 per cell]
Ga 0.000 0.000 0.500 [1 per cell]
Br 0.000 0.500 0.000 [2 per cell]
F 0.500 0.500 0.500 [1 per cell]